Starting from a PBE-relaxed structure, the XRD peak list of PuHf4Rh5 was simulated for Cu Kα.
Neutral-atom scattering factors, no anomalous dispersion.

Top 10 peaks for 2θ from 10° to 80°, low angle first:
26.35°, d 3.383, I 7, (0 0 5)
27.24°, d 3.274, I 10, (1 0 0)
38.26°, d 2.353, I 100, (1 0 5)
38.90°, d 2.315, I 54, (1 1 0)
47.60°, d 1.910, I 6, (1 1 5)
54.23°, d 1.691, I 6, (0 0 10)
56.19°, d 1.637, I 19, (2 0 0)
61.73°, d 1.503, I 5, (1 0 10)
68.73°, d 1.366, I 13, (1 1 10)
70.02°, d 1.344, I 34, (2 1 5)

a b c (Å): 3.274 3.274 16.913
angles (deg): 90.00 90.00 90.00
Space group P4/mmm (No. 123)
Symmetry-distinct sites (fractional):
Pu  0.000  0.000  0.000 [1 per cell]
Hf  0.000  0.000  0.209 [2 per cell]
Hf  0.000  0.000  0.404 [2 per cell]
Rh  0.500  0.500  0.125 [2 per cell]
Rh  0.500  0.500  0.310 [2 per cell]
Rh  0.500  0.500  0.500 [1 per cell]